[1]
# Sm4InTe2Pb
Simulated X-ray diffraction stick pattern, Cu Kα (λ = 1.5418 Å). Input: a structure optimized by DFT (PBE).

Structural model:
```
data_Sm4InTe2Pb
_chemical_formula_sum 'Sm4 In1 Te2 Pb1'
_cell_length_a 7.455
_cell_length_b 4.431
_cell_length_c 8.113
_cell_angle_alpha 90.00
_cell_angle_beta 108.82
_cell_angle_gamma 90.00
_space_group_name_H-M_alt 'P 1 2/m 1'
_space_group_IT_number 10
loop_
_space_group_symop_operation_xyz
'x,y,z'
'-x,-y,-z'
'-x,y,-z'
'x,-y,z'
loop_
_atom_site_label
_atom_site_fract_x
_atom_site_fract_y
_atom_site_fract_z
Sm1 0.249 0.000 0.249
Sm2 0.250 0.500 0.748
In1 0.500 0.000 0.000
Te1 0.000 0.000 0.500
Te2 0.500 0.500 0.500
Pb1 0.000 0.500 0.000
```

Peak list (10 most intense, 2θ from 10° to 80°, in order of rising 2θ)
2θ 28.23, I = 100, hkl 1 1 1
2θ 39.05, I = 28, hkl 1 1 -3
2θ 39.89, I = 13, hkl 2 0 2
2θ 40.72, I = 13, hkl 0 2 0
2θ 41.68, I = 24, hkl 3 1 -1
2θ 47.35, I = 8, hkl 0 0 4
2θ 50.33, I = 14, hkl 2 2 -2
2θ 58.32, I = 9, hkl 2 2 2
2θ 64.19, I = 7, hkl 0 2 4
2θ 64.34, I = 6, hkl 3 1 -5

[2]
# NpInBi
Simulated X-ray diffraction stick pattern, Cu Kα (λ = 1.5418 Å). Input: a structure optimized by DFT (PBE).

Structural model:
```
data_NpInBi
_chemical_formula_sum 'Np1 In1 Bi1'
_cell_length_a 5.4857
_cell_length_b 5.4857
_cell_length_c 3.2033
_cell_angle_alpha 90.00
_cell_angle_beta 90.00
_cell_angle_gamma 120.00
_space_group_name_H-M_alt 'P -6 m 2'
_space_group_IT_number 187
_space_group_name_Hall 'P -6 2'
loop_
_atom_site_label
_atom_site_fract_x
_atom_site_fract_y
_atom_site_fract_z
Np1 0.0000 0.0000 0.0000
In1 0.6667 0.3333 0.5000
Bi1 0.3333 0.6667 0.5000
```

Peak list (10 most intense, 2θ from 10° to 80°, in order of rising 2θ)
2θ 18.68, I = 13, hkl 1 0 0
2θ 32.65, I = 100, hkl 1 1 0
2θ 33.75, I = 96, hkl 1 0 1
2θ 47.66, I = 37, hkl 2 0 1
2θ 57.54, I = 7, hkl 0 0 2
2θ 58.26, I = 20, hkl 3 0 0
2θ 58.97, I = 40, hkl 2 1 1
2θ 67.75, I = 25, hkl 1 1 2
2θ 68.41, I = 12, hkl 2 2 0
2θ 78.49, I = 18, hkl 3 1 1

[3]
# Na5CuF8
Simulated X-ray diffraction stick pattern, Cu Kα (λ = 1.5418 Å). Input: a structure optimized by DFT (PBE).

Structural model:
```
data_Na5CuF8
_chemical_formula_sum 'Na10 Cu2 F16'
_cell_length_a 6.870
_cell_length_b 6.870
_cell_length_c 7.546
_cell_angle_alpha 90.00
_cell_angle_beta 90.00
_cell_angle_gamma 90.00
_space_group_name_H-M_alt 'I -4'
_space_group_IT_number 82
loop_
_space_group_symop_operation_xyz
'x,y,z'
'y,-x,-z'
'-x,-y,z'
'-y,x,-z'
'x+1/2,y+1/2,z+1/2'
'y+1/2,-x+1/2,-z+1/2'
'-x+1/2,-y+1/2,z+1/2'
'-y+1/2,x+1/2,-z+1/2'
loop_
_atom_site_label
_atom_site_fract_x
_atom_site_fract_y
_atom_site_fract_z
Na1 0.000 0.000 0.000
Na2 0.135 0.718 0.617
Cu1 0.000 0.500 0.250
F1 0.031 0.760 0.280
F2 0.101 0.689 0.922
```

Peak list (10 most intense, 2θ from 10° to 80°, in order of rising 2θ)
2θ 17.46, I = 66, hkl 1 0 1
2θ 18.26, I = 54, hkl 1 1 0
2θ 29.99, I = 34, hkl 1 1 2
2θ 31.44, I = 42, hkl 2 1 1
2θ 38.10, I = 100, hkl 1 0 3
2θ 41.20, I = 74, hkl 3 0 1
2θ 41.57, I = 36, hkl 3 1 0
2θ 48.35, I = 40, hkl 3 1 2
2θ 60.24, I = 20, hkl 2 4 0
2θ 61.01, I = 19, hkl 2 3 3

[4]
# Li3Cd6Au
Simulated X-ray diffraction stick pattern, Cu Kα (λ = 1.5418 Å). Input: a structure optimized by DFT (PBE).

Structural model:
```
data_Li3Cd6Au
_chemical_formula_sum 'Li18 Cd36 Au6'
_cell_length_a 10.4257
_cell_length_b 10.4257
_cell_length_c 12.7914
_cell_angle_alpha 90.00
_cell_angle_beta 90.00
_cell_angle_gamma 120.00
_space_group_name_H-M_alt 'R -3'
_space_group_IT_number 148
_space_group_name_Hall '-R 3'
loop_
_atom_site_label
_atom_site_fract_x
_atom_site_fract_y
_atom_site_fract_z
Li1 0.0378 0.4529 0.2067
Cd1 0.0419 0.1864 0.3091
Cd2 0.0625 0.6033 0.5848
Au1 0.0000 0.0000 0.0000
Au2 0.0000 0.0000 0.5000
```

Peak list (10 most intense, 2θ from 10° to 80°, in order of rising 2θ)
2θ 17.01, I = 20, hkl 1 1 0
2θ 20.84, I = 26, hkl 0 0 3
2θ 24.13, I = 45, hkl 2 0 2
2θ 27.03, I = 35, hkl 2 1 1
2θ 29.66, I = 18, hkl 3 -2 2
2θ 36.55, I = 83, hkl 4 -3 1
2θ 38.60, I = 100, hkl 3 1 2
2θ 46.04, I = 58, hkl 2 3 2
2θ 64.39, I = 36, hkl 1 2 8
2θ 64.45, I = 12, hkl 2 5 0